(1)
This entry pairs a crystal structure of CdC4N6 with its computed powder diffractogram. Radiation: Cu Ka. Structure: a structure optimized by DFT (GGA-PBE).

Most intense lines, 2θ = 15–90°, sorted by position:
16.43 deg, intensity 83, (0 1 1); 18.78 deg, intensity 100, (1 0 1); 19.14 deg, intensity 75, (1 1 0); 28.31 deg, intensity 27, (1 2 0); 29.87 deg, intensity 45, (1 1 2); 30.57 deg, intensity 40, (1 2 1); 34.54 deg, intensity 39, (2 1 1); 38.06 deg, intensity 45, (2 0 2); 45.47 deg, intensity 23, (2 2 2); 45.91 deg, intensity 16, (1 3 2)

Structure:
Unit cell a=5.924 b=7.448 c=7.830 alpha=90.00 beta=90.00 gamma=90.00
Space group Pnnm (No. 58)
Inequivalent atoms, fractional coordinates:
Cd  0.000  0.000  0.000
C  0.239  0.354  0.148
N  0.191  0.284  0.000
N  0.234  0.901  0.210

(2)
This entry pairs a crystal structure of LiTbInCu with its computed powder diffractogram. Radiation: Cu Ka. Structure: a structure optimized by DFT (GGA-PBE).

Most intense lines, 2θ = 15–90°, sorted by position:
23.17 deg, intensity 12, (1 1 1); 26.81 deg, intensity 42, (2 0 0); 38.29 deg, intensity 100, (2 2 0); 45.23 deg, intensity 6, (3 1 1); 47.36 deg, intensity 12, (2 2 2); 55.26 deg, intensity 17, (4 0 0); 62.46 deg, intensity 16, (4 2 0); 69.22 deg, intensity 34, (4 2 2); 81.97 deg, intensity 11, (4 4 0); 88.15 deg, intensity 8, (6 0 0)

Structure:
Unit cell a=6.649 b=6.649 c=6.649 alpha=90.00 beta=90.00 gamma=90.00
Space group F-43m (No. 216)
Inequivalent atoms, fractional coordinates:
Li  0.000  0.000  0.000
Tb  0.250  0.250  0.250
In  0.250  0.250  0.750
Cu  0.000  0.000  0.500

(3)
This entry pairs a crystal structure of Ho4In5S13 with its computed powder diffractogram. Radiation: Cu Ka. Structure: a structure optimized by DFT (GGA-PBE).

Most intense lines, 2θ = 15–90°, sorted by position:
24.86 deg, intensity 47, (0 6 0); 25.70 deg, intensity 100, (3 3 0); 27.36 deg, intensity 32, (1 3 1); 32.70 deg, intensity 24, (3 1 1); 34.77 deg, intensity 26, (2 5 1); 38.27 deg, intensity 21, (4 0 1); 40.55 deg, intensity 21, (2 7 1); 44.30 deg, intensity 23, (3 9 0); 47.25 deg, intensity 20, (0 0 2); 54.55 deg, intensity 20, (3 3 2)

Structure:
Unit cell a=11.888 b=21.485 c=3.847 alpha=90.00 beta=90.00 gamma=90.00
Space group Pbam (No. 55)
Inequivalent atoms, fractional coordinates:
Ho  0.018  0.175  0.000
Ho  0.178  0.340  0.000
In  0.000  0.500  0.000
In  0.153  0.992  0.500
In  0.159  0.668  0.500
S  0.000  0.000  0.000
S  0.003  0.407  0.500
S  0.085  0.263  0.500
S  0.147  0.864  0.500
S  0.152  0.115  0.500
S  0.165  0.740  0.000
S  0.204  0.472  0.000

(4)
This entry pairs a crystal structure of TmScW2C3 with its computed powder diffractogram. Radiation: Cu Ka. Structure: a structure optimized by DFT (GGA-PBE).

Most intense lines, 2θ = 15–90°, sorted by position:
16.61 deg, intensity 26, (2 0 0); 19.25 deg, intensity 37, (2 0 -1); 32.00 deg, intensity 37, (4 0 -1); 32.58 deg, intensity 32, (2 0 -2); 33.58 deg, intensity 40, (4 0 0); 34.36 deg, intensity 22, (0 0 2); 35.07 deg, intensity 100, (1 1 1); 37.46 deg, intensity 94, (3 1 -1); 39.08 deg, intensity 22, (4 0 -2); 43.53 deg, intensity 29, (2 0 2)

Structure:
Unit cell a=11.372 b=3.247 c=5.561 alpha=90.00 beta=110.17 gamma=90.00
Space group Cm (No. 8)
Inequivalent atoms, fractional coordinates:
Tm  0.000  0.000  0.000
Sc  0.225  0.000  0.662
W  0.262  0.500  0.153
W  0.456  0.000  0.494
C  0.111  0.500  0.816
C  0.354  0.500  0.566
C  0.360  0.000  0.082

(5)
This entry pairs a crystal structure of Rb2NiPdBr6 with its computed powder diffractogram. Radiation: Cu Ka. Structure: a structure optimized by DFT (GGA-PBE).

Most intense lines, 2θ = 15–90°, sorted by position:
17.84 deg, intensity 14, (1 0 0); 22.52 deg, intensity 18, (1 0 2); 26.27 deg, intensity 18, (1 1 1); 28.88 deg, intensity 11, (1 1 2); 32.81 deg, intensity 30, (1 1 3); 36.14 deg, intensity 61, (2 0 0); 37.69 deg, intensity 100, (1 1 4); 52.04 deg, intensity 21, (2 2 0); 66.02 deg, intensity 37, (3 1 4); 69.04 deg, intensity 13, (2 0 8)

Structure:
Unit cell a=4.971 b=4.971 c=13.003 alpha=90.00 beta=90.00 gamma=90.00
Space group P4/mmm (No. 123)
Inequivalent atoms, fractional coordinates:
Rb  0.000  0.000  0.227
Ni  0.500  0.500  0.000
Pd  0.500  0.500  0.500
Br  0.000  0.000  0.000
Br  0.000  0.000  0.500
Br  0.000  0.500  0.371

(6)
This entry pairs a crystal structure of CdIr with its computed powder diffractogram. Radiation: Cu Ka. Structure: a structure optimized by DFT (GGA-PBE).

Most intense lines, 2θ = 15–90°, sorted by position:
19.08 deg, intensity 9, (0 0 1); 36.01 deg, intensity 28, (1 0 0); 38.71 deg, intensity 26, (0 0 2); 41.06 deg, intensity 100, (1 0 1); 53.90 deg, intensity 18, (1 0 2); 64.74 deg, intensity 17, (1 1 0); 71.67 deg, intensity 19, (1 0 3); 78.05 deg, intensity 20, (1 1 2); 79.59 deg, intensity 14, (2 0 1); 89.08 deg, intensity 5, (2 0 2)

Structure:
Unit cell a=2.8800 b=2.8800 c=4.6518 alpha=90.00 beta=90.00 gamma=120.00
Space group P-6m2 (No. 187)
Inequivalent atoms, fractional coordinates:
Cd  0.0000  0.0000  0.0000
Ir  0.6667  0.3333  0.5000

(7)
This entry pairs a crystal structure of Zr4Cu3Mo2C3 with its computed powder diffractogram. Radiation: Cu Ka. Structure: a structure optimized by DFT (GGA-PBE).

Most intense lines, 2θ = 15–90°, sorted by position:
31.91 deg, intensity 73, (3 1 -1); 35.08 deg, intensity 13, (1 1 4); 37.78 deg, intensity 100, (3 1 -4); 38.11 deg, intensity 95, (0 2 3); 38.45 deg, intensity 88, (3 1 2); 41.27 deg, intensity 41, (0 0 6); 52.57 deg, intensity 13, (3 1 -7); 56.86 deg, intensity 56, (3 3 -1); 70.08 deg, intensity 13, (6 2 -5); 73.10 deg, intensity 13, (3 3 5)

Structure:
Unit cell a=9.716 b=5.611 c=13.590 alpha=90.00 beta=105.02 gamma=90.00
Space group C2/c (No. 15)
Inequivalent atoms, fractional coordinates:
Zr  0.121  0.075  0.105
Zr  0.208  0.089  0.395
Cu  0.000  0.160  0.750
Cu  0.128  0.455  0.248
Mo  0.061  0.412  0.926
C  0.082  0.253  0.500
C  0.250  0.250  0.000

(8)
This entry pairs a crystal structure of MgTaFeSi with its computed powder diffractogram. Radiation: Cu Ka. Structure: a structure optimized by DFT (GGA-PBE).

Most intense lines, 2θ = 15–90°, sorted by position:
25.31 deg, intensity 69, (1 1 1); 29.30 deg, intensity 23, (2 0 0); 41.92 deg, intensity 100, (2 2 0); 49.60 deg, intensity 35, (3 1 1); 51.97 deg, intensity 7, (2 2 2); 60.78 deg, intensity 16, (4 0 0); 66.91 deg, intensity 14, (3 3 1); 68.89 deg, intensity 9, (4 2 0); 76.57 deg, intensity 33, (4 2 2); 82.17 deg, intensity 11, (5 1 1)

Structure:
Unit cell a=6.095 b=6.095 c=6.095 alpha=90.00 beta=90.00 gamma=90.00
Space group F-43m (No. 216)
Inequivalent atoms, fractional coordinates:
Mg  0.000  0.000  0.000
Ta  0.250  0.250  0.750
Fe  0.000  0.000  0.500
Si  0.250  0.250  0.250

(9)
This entry pairs a crystal structure of SbAsW4N2 with its computed powder diffractogram. Radiation: Cu Ka. Structure: a structure optimized by DFT (GGA-PBE).

Most intense lines, 2θ = 15–90°, sorted by position:
26.09 deg, intensity 7, (0 0 4); 33.95 deg, intensity 24, (1 0 0); 34.60 deg, intensity 8, (1 0 1); 39.45 deg, intensity 100, (1 0 3); 39.58 deg, intensity 17, (0 0 6); 53.11 deg, intensity 13, (1 0 6); 58.84 deg, intensity 6, (1 0 7); 60.76 deg, intensity 21, (1 1 0); 71.72 deg, intensity 10, (1 0 9); 74.93 deg, intensity 31, (1 1 6)

Structure:
Unit cell a=3.0489 b=3.0489 c=13.6626 alpha=90.00 beta=90.00 gamma=120.00
Space group P-6m2 (No. 187)
Inequivalent atoms, fractional coordinates:
Sb  0.0000  0.0000  0.0000
As  0.3333  0.6667  0.5000
W  0.0000  0.0000  0.3559
W  0.3333  0.6667  0.1635
N  0.6667  0.3333  0.2584

(10)
This entry pairs a crystal structure of Cs3Rb2CuSb2 with its computed powder diffractogram. Radiation: Cu Ka. Structure: a structure optimized by DFT (GGA-PBE).

Most intense lines, 2θ = 15–90°, sorted by position:
26.71 deg, intensity 69, (1 0 7); 27.97 deg, intensity 100, (1 1 0); 39.06 deg, intensity 25, (0 2 7); 46.38 deg, intensity 16, (0 1 14); 48.73 deg, intensity 26, (2 1 7); 49.50 deg, intensity 20, (3 0 0); 55.06 deg, intensity 13, (2 0 14); 57.81 deg, intensity 13, (2 2 0); 62.85 deg, intensity 12, (1 2 14); 64.79 deg, intensity 11, (1 3 7)

Structure:
Unit cell a=6.3793 b=6.3793 c=29.3159 alpha=90.00 beta=90.00 gamma=120.00
Space group R-3m (No. 166, hexagonal axes)
Inequivalent atoms, fractional coordinates:
Cs  0.0000  0.0000  0.0000
Cs  0.0000  0.0000  0.1394
Rb  0.0000  0.0000  0.2839
Cu  0.0000  0.0000  0.5000
Sb  0.0000  0.0000  0.4137